Record 1
# SnC2Cl2
Computed powder XRD pattern, Cu Kα X-rays. Input: a crystal structure in Alexandria, relaxed with GGA-PBE.
Lines closer than 0.1° are merged.

Main lines, in order of rising 2θ (10 to 80 degrees two-theta):
7.653 Å, 11.56°, I = 100.0, (0 1 1)
5.652 Å, 15.68°, I = 39.5, (0 2 0)
3.572 Å, 24.93°, I = 23.7, (1 2 1)
3.478 Å, 25.61°, I = 16.2, (1 1 2)
3.314 Å, 26.90°, I = 12.5, (0 1 3)
2.624 Å, 34.17°, I = 44.8, (1 3 2)
2.562 Å, 35.03°, I = 18.3, (1 2 3)
2.436 Å, 36.89°, I = 18.6, (2 1 1)
2.409 Å, 37.33°, I = 14.6, (1 4 1)
2.015 Å, 44.99°, I = 17.4, (1 4 3)

Crystal structure
Cell lengths 5.1403, 11.3046, 10.3983 Å; angles 90.00, 90.00, 90.00 degrees
Space group Imma (No. 74)
One atom of each set of equivalent atoms:
Sn (0.0000, 0.2500, 0.1381) (multiplicity 4)
C (0.1233, 0.2500, 0.7502) (multiplicity 8)
Cl (0.0000, 0.1082, 0.3478) (multiplicity 8)

---

Record 2
# Tb3CCl3
Computed powder XRD pattern, Cu Kα X-rays. Input: a crystal structure in Alexandria, relaxed with GGA-PBE.
Lines closer than 0.1° are merged.

Main lines, in order of rising 2θ (10 to 80 degrees two-theta):
7.970 Å, 11.10°, I = 35.1, (1 0 0)
6.278 Å, 14.11°, I = 18.9, (1 0 1)
3.291 Å, 27.10°, I = 14.2, (2 0 -2)
3.139 Å, 28.43°, I = 15.0, (2 0 2)
3.070 Å, 29.09°, I = 35.3, (0 1 2)
2.718 Å, 32.95°, I = 100.0, (2 1 0)
2.595 Å, 34.57°, I = 12.4, (0 1 3)
1.954 Å, 46.46°, I = 17.7, (2 1 -4)
1.890 Å, 48.16°, I = 20.7, (2 1 4)
1.861 Å, 48.93°, I = 12.8, (0 2 0)

Crystal structure
Cell lengths 7.9801, 3.7228, 10.8667 Å; angles 90.00, 92.83, 90.00 degrees
Space group P2_1/m (No. 11)
One atom of each set of equivalent atoms:
Tb (0.0911, 0.2500, 0.3906) (multiplicity 2)
Tb (0.1251, 0.2500, 0.8413) (multiplicity 2)
Tb (0.3229, 0.7500, 0.6245) (multiplicity 2)
C (0.1264, 0.2500, 0.6232) (multiplicity 2)
Cl (0.1264, 0.2500, 0.1234) (multiplicity 2)
Cl (0.3753, 0.7500, 0.8756) (multiplicity 2)
Cl (0.3786, 0.7500, 0.3725) (multiplicity 2)

---

Record 3
# TbThCCl
Computed powder XRD pattern, Cu Kα X-rays. Input: a crystal structure in Alexandria, relaxed with GGA-PBE.
Lines closer than 0.1° are merged.

Main lines, in order of rising 2θ (10 to 80 degrees two-theta):
7.350 Å, 12.04°, I = 41.8, (0 0 1)
3.675 Å, 24.22°, I = 28.6, (0 0 2)
3.108 Å, 28.72°, I = 77.3, (1 1 0)
3.020 Å, 29.58°, I = 18.2, (2 0 0)
2.728 Å, 32.83°, I = 86.0, (1 1 1)
2.558 Å, 35.08°, I = 100.0, (2 0 1)
2.450 Å, 36.68°, I = 25.6, (0 0 3)
1.811 Å, 50.39°, I = 27.0, (3 1 -1)
1.804 Å, 50.58°, I = 28.0, (1 1 3)
1.456 Å, 63.93°, I = 20.6, (3 1 2)

Crystal structure
Cell lengths 6.2663, 3.6329, 7.6401 Å; angles 90.00, 105.83, 90.00 degrees
Space group Cm (No. 8)
One atom of each set of equivalent atoms:
Tb (0.0000, 0.0000, 0.0000) (multiplicity 2)
Th (0.2927, 0.5000, 0.3781) (multiplicity 2)
C (0.3937, 0.0000, 0.1812) (multiplicity 2)
Cl (0.2371, 0.0000, 0.7108) (multiplicity 2)

---

Record 4
# Ti6CCl14
Computed powder XRD pattern, Cu Kα X-rays. Input: a crystal structure in Alexandria, relaxed with GGA-PBE.
Lines closer than 0.1° are merged.

Main lines, in order of rising 2θ (10 to 80 degrees two-theta):
7.275 Å, 12.17°, I = 100.0, (1 1 1)
6.728 Å, 13.16°, I = 13.8, (0 2 0)
2.889 Å, 30.95°, I = 18.9, (0 4 2)
2.820 Å, 31.74°, I = 6.2, (0 0 4)
2.656 Å, 33.75°, I = 14.5, (4 2 2)
2.391 Å, 37.63°, I = 10.6, (1 5 2)
2.350 Å, 38.29°, I = 33.3, (4 2 3)
2.058 Å, 43.99°, I = 6.9, (4 2 4)
1.926 Å, 47.18°, I = 6.7, (0 6 3)
1.683 Å, 54.51°, I = 6.4, (8 0 0)

Crystal structure
Cell lengths 13.4682, 13.4532, 11.2824 Å; angles 90.00, 90.00, 90.00 degrees
Space group Cmce (No. 64)
One atom of each set of equivalent atoms:
Ti (0.0000, 0.1314, 0.0904) (multiplicity 8)
Ti (0.1140, 0.0565, 0.8830) (multiplicity 16)
C (0.0000, 0.0000, 0.0000) (multiplicity 4)
Cl (0.0000, 0.1267, 0.7398) (multiplicity 8)
Cl (0.1219, 0.0926, 0.2344) (multiplicity 16)
Cl (0.1226, 0.2167, 0.9797) (multiplicity 16)
Cl (0.2497, 0.0000, 0.0000) (multiplicity 8)
Cl (0.2500, 0.1283, 0.7500) (multiplicity 8)

---

Record 5
# W6CCl18
Computed powder XRD pattern, Cu Kα X-rays. Input: a crystal structure in Alexandria, relaxed with GGA-PBE.
Lines closer than 0.1° are merged.

Main lines, in order of rising 2θ (10 to 80 degrees two-theta):
8.202 Å, 10.79°, I = 37.1, (1 0 0)
7.507 Å, 11.79°, I = 100.0, (1 0 1)
4.735 Å, 18.74°, I = 7.0, (1 1 0)
3.393 Å, 26.26°, I = 8.2, (1 0 5)
3.058 Å, 29.20°, I = 13.8, (2 1 1)
2.532 Å, 35.45°, I = 7.1, (1 0 7)
2.383 Å, 37.74°, I = 10.9, (2 1 5)
2.258 Å, 39.93°, I = 10.4, (3 1 1)
2.020 Å, 44.88°, I = 13.9, (2 1 7)
1.883 Å, 48.34°, I = 14.8, (2 2 6)

Crystal structure
Cell lengths 9.4705, 9.4705, 18.6362 Å; angles 90.00, 90.00, 120.00 degrees
Space group P-62c (No. 190)
One atom of each set of equivalent atoms:
W (0.1567, 0.5083, 0.1710) (multiplicity 12)
C (0.3333, 0.6667, 0.2500) (multiplicity 2)
Cl (0.0440, 0.5611, 0.7500) (multiplicity 6)
Cl (0.0773, 0.3752, 0.6103) (multiplicity 12)
Cl (0.1218, 0.2873, 0.2500) (multiplicity 6)
Cl (0.1390, 0.6889, 0.0859) (multiplicity 12)

---

Record 6
# Zn2CCl
Computed powder XRD pattern, Cu Kα X-rays. Input: a crystal structure in Alexandria, relaxed with GGA-PBE.
Lines closer than 0.1° are merged.

Main lines, in order of rising 2θ (10 to 80 degrees two-theta):
5.787 Å, 15.31°, I = 100.0, (0 1 0)
4.190 Å, 21.21°, I = 81.3, (0 1 1)
3.177 Å, 28.09°, I = 63.8, (1 0 0)
3.015 Å, 29.63°, I = 54.6, (1 0 -1)
2.998 Å, 29.80°, I = 74.2, (1 -1 1)
2.944 Å, 30.36°, I = 87.3, (0 2 -1)
2.918 Å, 30.64°, I = 93.7, (0 1 2)
2.875 Å, 31.11°, I = 64.7, (-1 1 1)
2.579 Å, 34.78°, I = 80.0, (0 0 3)
2.277 Å, 39.59°, I = 57.1, (1 1 -2)

Crystal structure
Cell lengths 3.3031, 6.1658, 7.9561 Å; angles 102.88, 90.38, 105.20 degrees
Space group P1 (No. 1)
One atom of each set of equivalent atoms:
Zn (0.0000, 0.0000, 0.0000) (multiplicity 1)
Zn (0.0923, 0.1599, 0.6299) (multiplicity 1)
Zn (0.4787, 0.9230, 0.2376) (multiplicity 1)
Zn (0.8419, 0.6120, 0.2975) (multiplicity 1)
C (0.6102, 0.2041, 0.4890) (multiplicity 1)
C (0.6720, 0.3158, 0.3711) (multiplicity 1)
Cl (0.1958, 0.3680, 0.9189) (multiplicity 1)
Cl (0.9171, 0.8026, 0.7032) (multiplicity 1)

---

Record 7
# Co2C3
Computed powder XRD pattern, Cu Kα X-rays. Input: a crystal structure in Alexandria, relaxed with GGA-PBE.
Lines closer than 0.1° are merged.

Main lines, in order of rising 2θ (10 to 80 degrees two-theta):
5.617 Å, 15.78°, I = 100.0, (0 0 6)
3.745 Å, 23.76°, I = 61.8, (0 0 9)
2.808 Å, 31.87°, I = 35.7, (0 0 12)
2.247 Å, 40.14°, I = 40.7, (0 0 15)
2.161 Å, 41.79°, I = 29.7, (1 0 1)
2.098 Å, 43.12°, I = 95.2, (1 0 4)
2.062 Å, 43.91°, I = 52.6, (0 1 5)
1.975 Å, 45.94°, I = 36.2, (1 0 7)
1.926 Å, 47.18°, I = 69.4, (0 1 8)
1.769 Å, 51.68°, I = 57.6, (0 1 11)

Crystal structure
Cell lengths 2.5010, 2.5010, 33.7008 Å; angles 90.00, 90.00, 120.00 degrees
Space group R-3m (No. 166, hexagonal axes)
One atom of each set of equivalent atoms:
Co (0.0000, 0.0000, 0.1293) (multiplicity 6)
C (0.0000, 0.0000, 0.3333) (multiplicity 6)
C (0.0000, 0.0000, 0.5000) (multiplicity 3)

---

Record 8
# CoC
Computed powder XRD pattern, Cu Kα X-rays. Input: a crystal structure in Alexandria, relaxed with GGA-PBE.
Lines closer than 0.1° are merged.

Main lines, in order of rising 2θ (10 to 80 degrees two-theta):
2.562 Å, 35.03°, I = 92.0, (1 1 -1)
2.352 Å, 38.26°, I = 95.9, (0 2 0)
2.059 Å, 43.98°, I = 100.0, (1 1 1)
1.853 Å, 49.16°, I = 35.2, (2 0 -1)
1.842 Å, 49.49°, I = 28.7, (0 0 2)
1.823 Å, 50.04°, I = 25.5, (2 0 0)
1.736 Å, 52.72°, I = 51.3, (1 1 -2)
1.456 Å, 63.95°, I = 26.1, (2 2 -1)
1.441 Å, 64.70°, I = 24.3, (2 2 0)
1.294 Å, 73.15°, I = 22.6, (1 3 1)

Crystal structure
Cell lengths 3.7978, 4.7044, 3.8376 Å; angles 90.00, 106.28, 90.00 degrees
Space group C2 (No. 5)
One atom of each set of equivalent atoms:
Co (0.1946, 0.0000, 0.3029) (multiplicity 4)
C (0.1582, 0.3996, 0.1666) (multiplicity 4)

---

Record 9
# Co5C3
Computed powder XRD pattern, Cu Kα X-rays. Input: a crystal structure in Alexandria, relaxed with GGA-PBE.
Lines closer than 0.1° are merged.

Main lines, in order of rising 2θ (10 to 80 degrees two-theta):
2.486 Å, 36.13°, I = 51.7, (2 0 -1)
2.392 Å, 37.61°, I = 52.3, (0 4 1)
2.354 Å, 38.23°, I = 51.8, (0 2 2)
2.158 Å, 41.86°, I = 100.0, (2 0 -2)
2.150 Å, 42.03°, I = 51.0, (2 2 0)
1.955 Å, 46.45°, I = 62.4, (1 5 0)
1.908 Å, 47.67°, I = 73.3, (2 0 1)
1.876 Å, 48.54°, I = 56.9, (0 4 2)
1.825 Å, 49.97°, I = 82.5, (2 4 -1)
1.751 Å, 52.23°, I = 76.0, (1 3 2)

Crystal structure
Cell lengths 5.0010, 10.7528, 5.5835 Å; angles 90.00, 110.30, 90.00 degrees
Space group Cm (No. 8)
One atom of each set of equivalent atoms:
Co (0.0000, 0.0000, 0.0000) (multiplicity 2)
Co (0.0006, 0.5000, 0.0144) (multiplicity 2)
Co (0.1341, 0.3901, 0.6570) (multiplicity 4)
Co (0.1969, 0.1732, 0.7815) (multiplicity 4)
Co (0.3164, 0.1689, 0.2380) (multiplicity 4)
Co (0.3746, 0.3838, 0.3422) (multiplicity 4)
C (0.1241, 0.3301, 0.9737) (multiplicity 4)
C (0.1501, 0.2467, 0.4585) (multiplicity 4)
C (0.3706, 0.0000, 0.3070) (multiplicity 2)
C (0.4529, 0.5000, 0.6478) (multiplicity 2)

---

Record 10
# CoC
Computed powder XRD pattern, Cu Kα X-rays. Input: a crystal structure in Alexandria, relaxed with GGA-PBE.
Lines closer than 0.1° are merged.

Main lines, in order of rising 2θ (10 to 80 degrees two-theta):
3.044 Å, 29.34°, I = 57.6, (0 2 0)
2.803 Å, 31.92°, I = 23.8, (1 1 0)
2.374 Å, 37.89°, I = 13.4, (0 2 1)
2.255 Å, 39.99°, I = 100.0, (1 1 1)
1.897 Å, 47.95°, I = 26.8, (0 0 2)
1.707 Å, 53.69°, I = 22.3, (1 3 0)
1.610 Å, 57.21°, I = 15.6, (0 2 2)
1.579 Å, 58.45°, I = 13.8, (2 0 0)
1.557 Å, 59.36°, I = 20.6, (1 3 1)
1.269 Å, 74.81°, I = 14.9, (1 3 2)

Crystal structure
Cell lengths 3.1581, 6.0873, 3.7948 Å; angles 90.00, 90.00, 90.00 degrees
Space group Cmcm (No. 63)
One atom of each set of equivalent atoms:
Co (0.0000, 0.2020, 0.2500) (multiplicity 4)
C (0.0000, 0.1262, 0.7500) (multiplicity 4)

---

Record 11
# Ta6Cr3Co3C2
Computed powder XRD pattern, Cu Kα X-rays. Input: a crystal structure in Alexandria, relaxed with GGA-PBE.
Lines closer than 0.1° are merged.

Main lines, in order of rising 2θ (10 to 80 degrees two-theta):
2.853 Å, 31.36°, I = 49.9, (0 0 4)
2.619 Å, 34.24°, I = 42.2, (0 3 1)
2.331 Å, 38.62°, I = 63.0, (0 2 4)
2.325 Å, 38.72°, I = 31.6, (3 1 2)
2.198 Å, 41.07°, I = 100.0, (0 3 3)
2.193 Å, 41.16°, I = 66.2, (3 0 3)
2.018 Å, 44.91°, I = 41.1, (0 4 0)
1.599 Å, 57.66°, I = 24.3, (0 5 1)
1.346 Å, 69.91°, I = 59.9, (3 5 2)
1.342 Å, 70.09°, I = 23.1, (5 3 2)

Crystal structure
Cell lengths 8.0470, 8.0788, 11.4265 Å; angles 90.00, 90.00, 90.00 degrees
Space group Imm2 (No. 44)
One atom of each set of equivalent atoms:
Ta (0.0000, 0.0000, 0.0000) (multiplicity 2)
Ta (0.0000, 0.0000, 0.3900) (multiplicity 2)
Ta (0.0000, 0.5000, 0.1417) (multiplicity 2)
Ta (0.0000, 0.5000, 0.7507) (multiplicity 2)
Ta (0.1938, 0.1942, 0.1942) (multiplicity 8)
Ta (0.1956, 0.3047, 0.9437) (multiplicity 8)
Cr (0.0000, 0.2506, 0.5733) (multiplicity 4)
Cr (0.0000, 0.3454, 0.3691) (multiplicity 4)
Cr (0.2471, 0.0000, 0.8197) (multiplicity 4)
Co (0.0000, 0.1512, 0.7697) (multiplicity 4)
Co (0.1545, 0.5000, 0.5244) (multiplicity 4)
Co (0.1551, 0.0000, 0.6167) (multiplicity 4)
C (0.0000, 0.2499, 0.0689) (multiplicity 4)
C (0.2501, 0.0000, 0.3191) (multiplicity 4)

---

Repeat the eleventh record exactly.
# Ta6Cr3Co3C2
Computed powder XRD pattern, Cu Kα X-rays. Input: a crystal structure in Alexandria, relaxed with GGA-PBE.
Lines closer than 0.1° are merged.

Main lines, in order of rising 2θ (10 to 80 degrees two-theta):
2.853 Å, 31.36°, I = 49.9, (0 0 4)
2.619 Å, 34.24°, I = 42.2, (0 3 1)
2.331 Å, 38.62°, I = 63.0, (0 2 4)
2.325 Å, 38.72°, I = 31.6, (3 1 2)
2.198 Å, 41.07°, I = 100.0, (0 3 3)
2.193 Å, 41.16°, I = 66.2, (3 0 3)
2.018 Å, 44.91°, I = 41.1, (0 4 0)
1.599 Å, 57.66°, I = 24.3, (0 5 1)
1.346 Å, 69.91°, I = 59.9, (3 5 2)
1.342 Å, 70.09°, I = 23.1, (5 3 2)

Crystal structure
Cell lengths 8.0470, 8.0788, 11.4265 Å; angles 90.00, 90.00, 90.00 degrees
Space group Imm2 (No. 44)
One atom of each set of equivalent atoms:
Ta (0.0000, 0.0000, 0.0000) (multiplicity 2)
Ta (0.0000, 0.0000, 0.3900) (multiplicity 2)
Ta (0.0000, 0.5000, 0.1417) (multiplicity 2)
Ta (0.0000, 0.5000, 0.7507) (multiplicity 2)
Ta (0.1938, 0.1942, 0.1942) (multiplicity 8)
Ta (0.1956, 0.3047, 0.9437) (multiplicity 8)
Cr (0.0000, 0.2506, 0.5733) (multiplicity 4)
Cr (0.0000, 0.3454, 0.3691) (multiplicity 4)
Cr (0.2471, 0.0000, 0.8197) (multiplicity 4)
Co (0.0000, 0.1512, 0.7697) (multiplicity 4)
Co (0.1545, 0.5000, 0.5244) (multiplicity 4)
Co (0.1551, 0.0000, 0.6167) (multiplicity 4)
C (0.0000, 0.2499, 0.0689) (multiplicity 4)
C (0.2501, 0.0000, 0.3191) (multiplicity 4)